TbPrC: theoretical XRD peak list (Cu Kα), based on the PBE geometry in Alexandria.
Neutral-atom scattering factors, no anomalous dispersion.

Peak list (10 most intense, 2θ from 10° to 90°, by angle)
- d 8.027, intensity 28, hkl 0 0 1
- d 3.164, intensity 95, hkl 0 1 2
- d 2.983, intensity 100, hkl 1 1 0
- d 2.705, intensity 73, hkl 1 0 2
- d 2.572, intensity 39, hkl 0 2 0
- d 1.864, intensity 49, hkl 1 2 2
- d 1.665, intensity 14, hkl 1 1 4
- d 1.585, intensity 25, hkl 2 1 2
- d 1.553, intensity 15, hkl 1 3 0
- d 1.492, intensity 14, hkl 2 2 0

Atomic structure:
a = 3.662 Å, b = 5.144 Å, c = 8.027 Å
α = 90.00°, β = 90.00°, γ = 90.00°
Space group Pmmn (No. 59, origin choice 2)
One atom of each set of equivalent atoms:
Tb1 0.250 0.250 0.094 x2
Pr1 0.250 0.250 0.664 x2
C1 0.250 0.750 0.121 x2

DySi6Pd12: theoretical XRD peak list (Cu Kα), based on the PBE geometry in Alexandria.
Neutral-atom scattering factors, no anomalous dispersion.

Peak list (10 most intense, 2θ from 10° to 90°, by angle)
- d 3.259, intensity 18, hkl 3 0 0
- d 3.166, intensity 17, hkl 2 0 2
- d 2.578, intensity 100, hkl 1 3 1
- d 2.487, intensity 51, hkl 1 1 3
- d 2.271, intensity 19, hkl 3 1 2
- d 2.110, intensity 41, hkl 3 0 3
- d 1.882, intensity 16, hkl 3 3 0
- d 1.769, intensity 32, hkl 5 0 2
- d 1.417, intensity 16, hkl 3 1 5
- d 1.257, intensity 15, hkl 4 4 3

Atomic structure:
a = 11.2899 Å, b = 11.2899 Å, c = 8.3116 Å
α = 90.00°, β = 90.00°, γ = 120.00°
Space group R-3m (No. 166, hexagonal axes)
One atom of each set of equivalent atoms:
Dy1 0.0000 0.0000 0.0000 x3
Si1 0.0404 0.5202 0.2673 x18
Pd1 0.0000 0.3757 0.5000 x18
Pd2 0.0865 0.1729 0.3427 x18